For DySbMo2O9, a cell relaxed with PBE+U gives the theoretical X-ray diffraction stick pattern in this record (copper Kα).
Lines closer than 0.1° are merged.

Cell and atoms:
```
52
Lattice="6.5362 -7.1815 0.0000 6.5362 7.1815 0.0000 -6.0174 0.0000 9.0502" Properties=species:S:1:pos:R:3 pbc="T T T"
Dy 2.0231 5.3790 6.7877
Dy 5.0318 2.4631 2.2626
Dy 2.0231 -2.4631 6.7877
Dy 5.0318 -5.3790 2.2626
Sb 1.9737 0.2168 4.1977
Sb -1.0351 -0.2168 8.7228
Sb 8.0899 0.2168 0.3274
Sb 5.0812 -0.2168 4.8525
Mo 1.8507 1.5274 0.2204
Mo -0.9528 2.7112 6.2703
Mo -1.1580 -1.5274 4.7455
Mo 2.0560 -2.7112 1.7452
Mo 4.9989 2.7112 7.3051
Mo 8.2129 1.5274 4.3048
Mo 8.0076 -2.7112 2.7800
Mo 5.2042 -1.5274 8.8299
O 1.6731 4.8294 4.5084
O 0.6718 1.2718 1.5530
O -4.3132 0.1978 8.1183
O 2.7346 3.3155 2.2775
O -1.3045 -0.1978 3.5931
O 5.0215 4.1145 0.6293
O 0.6314 3.4362 6.5756
O -1.0442 1.1247 7.2144
O -2.3369 -1.2718 6.0781
O 3.6281 1.3284 0.7171
O 5.0421 4.1145 3.8958
O 8.3905 4.8294 0.0168
O 1.9646 -1.1247 2.6893
O 3.4147 3.4362 6.9998
O 0.6193 -1.3284 5.2422
O 3.8978 0.8534 3.6202
O 7.3290 3.3155 2.2476
O 6.1658 0.8534 0.9049
O 0.8890 -0.8534 8.1453
O -0.2742 -3.3155 6.8027
O 3.1571 -0.8534 5.4300
O 6.4355 1.3284 3.8081
O 3.6401 -3.4362 2.0505
O 5.0903 1.1247 6.3609
O -1.3356 -4.8294 9.0335
O 2.0128 -4.1145 5.1544
O 3.4268 -1.3284 8.3332
O 9.3918 1.2718 2.9721
O 8.0990 -1.1247 1.8358
O 6.4235 -3.4362 2.4747
O 2.0333 -4.1145 8.4209
O 8.3593 0.1978 5.4571
O 4.3203 -3.3155 6.7727
O 11.3681 -0.1978 0.9320
O 6.3830 -1.2718 7.4973
O 5.3818 -4.8294 4.5419
```

Top 6 peaks for 2θ from 5° to 70°, in order of rising 2θ:
- 3.828 Å, I = 82
- 3.571 Å, I = 74
- 3.374 Å, I = 100
- 3.263 Å, I = 100
- 3.234 Å, I = 71
- 3.146 Å, I = 63